ScGa2Ni5: theoretical X-ray diffraction stick pattern (copper Kα), based on DFT lattice parameters and positions (GGA-PBE).

Top 10 peaks for 5° ≤ 2θ ≤ 70°, by intensity:
2theta  I/Imax  (hkl)
38.95  100  1 2 1
46.74  99  0 2 4
38.74  80  1 0 3
48.87  63  1 3 0
48.53  55  1 1 4
16.18  46  0 1 1
53.95  40  2 0 0
35.07  32  1 1 2
55.13  19  1 0 5
49.94  14  0 3 3

Atomic structure:
Cell: 3.3989 6.6862 9.5553 Å, 90.00 90.00 90.00°
Space group Immm (No. 71)
Inequivalent atoms, fractional coordinates:
Sc  0.0000  0.0000  0.0000
Ga  0.0000  0.5000  0.2508
Ni  0.0000  0.1960  0.3704
Ni  0.0000  0.5000  0.0000